Record 1
# FeCu3Se4
Computed PXRD pattern, Cu Kα. Input: a structure optimized by DFT (PBE).
Lines closer than 0.1° are merged.

The 10 most intense peaks (2θ = 10–80°), in order of rising 2θ:
| 2θ/deg | I (rel.) |
| --- | --- |
| 26.72 | 100 |
| 27.32 | 55 |
| 30.08 | 78 |
| 38.58 | 32 |
| 47.06 | 27 |
| 47.24 | 54 |
| 50.03 | 93 |
| 55.25 | 19 |
| 55.43 | 29 |
| 71.15 | 20 |

Atomic structure:
```
data_FeCu3Se4
_cell_length_a 7.7248
_cell_length_b 6.6575
_cell_length_c 6.5296
_cell_angle_alpha 90.00
_cell_angle_beta 90.00
_cell_angle_gamma 90.00
_space_group_name_H-M_alt 'P m n 21'
_space_group_IT_number 31
loop_
_space_group_symop_operation_xyz
'x,y,z'
'-x+1/2,-y,z+1/2'
'-x,y,z'
'x+1/2,-y,z+1/2'
loop_
_atom_site_label
_atom_site_type_symbol
_atom_site_fract_x
_atom_site_fract_y
_atom_site_fract_z
Fe1 Fe 0.0000 0.1701 0.0000
Cu1 Cu 0.0000 0.8381 0.4968
Cu2 Cu 0.2491 0.6686 0.9953
Se1 Se 0.0000 0.1713 0.6418
Se2 Se 0.0000 0.8423 0.1297
Se3 Se 0.2478 0.3318 0.1286
```

Record 2
# SmBiRu2O7
Computed PXRD pattern, Cu Kα. Input: a structure optimized by DFT (PBE).
Lines closer than 0.1° are merged.

The 10 most intense peaks (2θ = 10–80°), in order of rising 2θ:
| 2θ/deg | I (rel.) |
| --- | --- |
| 29.66 | 100 |
| 29.91 | 100 |
| 34.53 | 69 |
| 49.30 | 16 |
| 49.63 | 61 |
| 49.96 | 15 |
| 58.74 | 30 |
| 58.89 | 15 |
| 59.03 | 14 |
| 59.18 | 29 |

Atomic structure:
```
data_SmBiRu2O7
_cell_length_a 7.3024
_cell_length_b 7.3935
_cell_length_c 10.3912
_cell_angle_alpha 90.00
_cell_angle_beta 90.00
_cell_angle_gamma 90.00
_space_group_name_H-M_alt 'I m m a'
_space_group_IT_number 74
_space_group_name_Hall '-I 2b 2'
loop_
_atom_site_label
_atom_site_type_symbol
_atom_site_fract_x
_atom_site_fract_y
_atom_site_fract_z
Sm1 Sm 0.0000 0.0000 0.0000
Bi1 Bi 0.2500 0.2500 0.2500
Ru1 Ru 0.0000 0.0000 0.5000
Ru2 Ru 0.2500 0.2500 0.7500
O1 O 0.0000 0.2500 0.1214
O2 O 0.0000 0.2500 0.4216
O3 O 0.0000 0.2500 0.8342
O4 O 0.2028 0.0442 0.6261
```